Ni4SnS: simulated powder diffraction line list (Cu Kα X-rays), based on the GGA-PBE geometry in Alexandria.
Intensities are scaled so that the largest is 1000.

Crystal structure
a = 4.465 Å, b = 5.949 Å, c = 6.776 Å
α = 100.84°, β = 108.78°, γ = 97.14°
Fractional positions:
Ni: 0.001 0.469 0.178
Ni: 0.162 0.886 0.666
Ni: 0.211 0.893 0.155
Ni: 0.367 0.315 0.657
Ni: 0.633 0.685 0.343
Ni: 0.789 0.107 0.845
Ni: 0.838 0.114 0.334
Ni: 0.999 0.531 0.822
Sn: 0.391 0.259 0.039
Sn: 0.609 0.741 0.961
S: 0.000 0.500 0.500
S: 0.500 0.000 0.500

Top 6 peaks for 15° ≤ 2θ ≤ 90°, by intensity:
two_theta	I (rel.)
41.78	1000
46.57	744
43.40	734
37.15	717
42.04	609
34.45	572

***

Ce3TiAg3Se8: simulated powder diffraction line list (Cu Kα X-rays), based on the GGA-PBE geometry in Alexandria.
Intensities are scaled so that the largest is 1000.

Crystal structure
a = 8.056 Å, b = 8.056 Å, c = 8.056 Å
α = 62.68°, β = 62.68°, γ = 62.68°
Fractional positions:
Ce: 0.000 0.500 0.500
Ce: 0.500 0.000 0.500
Ce: 0.500 0.500 0.000
Ti: 0.000 0.000 0.000
Ag: 0.000 0.000 0.500
Ag: 0.000 0.500 0.000
Ag: 0.500 0.000 0.000
Se: 0.227 0.770 0.770
Se: 0.230 0.230 0.773
Se: 0.230 0.773 0.230
Se: 0.249 0.249 0.249
Se: 0.751 0.751 0.751
Se: 0.770 0.227 0.770
Se: 0.770 0.770 0.227
Se: 0.773 0.230 0.230

Top 6 peaks for 15° ≤ 2θ ≤ 90°, by intensity:
two_theta	I (rel.)
30.82	1000
43.18	376
45.09	336
53.99	186
71.51	149
74.29	138

***

Y4Cu2Sn: simulated powder diffraction line list (Cu Kα X-rays), based on the GGA-PBE geometry in Alexandria.
Intensities are scaled so that the largest is 1000.

Crystal structure
a = 8.692 Å, b = 8.692 Å, c = 6.929 Å
α = 107.98°, β = 107.98°, γ = 120.45°
Fractional positions:
Y: 0.027 0.973 0.500
Y: 0.088 0.429 0.836
Y: 0.316 0.806 0.652
Y: 0.429 0.088 0.336
Y: 0.497 0.572 0.366
Y: 0.572 0.497 0.866
Y: 0.806 0.316 0.152
Y: 0.973 0.027 0.000
Cu: 0.022 0.693 0.129
Cu: 0.193 0.371 0.475
Cu: 0.371 0.193 0.975
Cu: 0.693 0.022 0.629
Sn: 0.620 0.895 0.165
Sn: 0.895 0.620 0.665

Top 6 peaks for 15° ≤ 2θ ≤ 90°, by intensity:
two_theta	I (rel.)
32.19	1000
32.74	933
35.66	829
32.50	657
41.10	327
28.96	315

***

Pm4PrEr6: simulated powder diffraction line list (Cu Kα X-rays), based on the GGA-PBE geometry in Alexandria.
Intensities are scaled so that the largest is 1000.

Crystal structure
a = 9.698 Å, b = 9.698 Å, c = 9.698 Å
α = 139.88°, β = 139.88°, γ = 58.04°
Fractional positions:
Pm: 0.135 0.135 0.620
Pm: 0.486 0.865 0.000
Pm: 0.514 0.514 0.380
Pm: 0.865 0.486 0.000
Pr: 0.500 0.500 0.000
Er: 0.000 0.500 0.500
Er: 0.053 0.696 0.000
Er: 0.304 0.304 0.356
Er: 0.500 0.000 0.500
Er: 0.696 0.053 0.000
Er: 0.947 0.947 0.644

Top 6 peaks for 15° ≤ 2θ ≤ 90°, by intensity:
two_theta	I (rel.)
30.50	1000
34.26	775
28.83	637
28.34	430
40.32	357
37.10	310

***

Tb5ErTl5: simulated powder diffraction line list (Cu Kα X-rays), based on the GGA-PBE geometry in Alexandria.
Intensities are scaled so that the largest is 1000.

Crystal structure
a = 9.314 Å, b = 9.314 Å, c = 7.023 Å
α = 111.26°, β = 111.26°, γ = 35.75°
Fractional positions:
Tb: 0.000 0.000 0.000
Tb: 0.313 0.313 0.304
Tb: 0.363 0.363 0.851
Tb: 0.637 0.637 0.149
Tb: 0.687 0.687 0.696
Er: 0.000 0.000 0.500
Tl: 0.162 0.162 0.894
Tl: 0.163 0.163 0.431
Tl: 0.500 0.500 0.500
Tl: 0.837 0.837 0.569
Tl: 0.838 0.838 0.106

Top 6 peaks for 15° ≤ 2θ ≤ 90°, by intensity:
two_theta	I (rel.)
31.29	1000
33.96	996
34.37	858
32.78	657
45.95	520
62.03	311

***

TbNd2Tm5Th: simulated powder diffraction line list (Cu Kα X-rays), based on the GGA-PBE geometry in Alexandria.
Intensities are scaled so that the largest is 1000.

Crystal structure
a = 9.795 Å, b = 9.795 Å, c = 9.795 Å
α = 127.49°, β = 127.49°, γ = 77.46°
Fractional positions:
Tb: 0.250 0.750 0.500
Tb: 0.750 0.250 0.500
Nd: 0.116 0.616 0.732
Nd: 0.384 0.116 0.500
Nd: 0.616 0.884 0.500
Nd: 0.884 0.384 0.268
Tm: 0.000 0.000 0.000
Tm: 0.074 0.147 0.500
Tm: 0.147 0.647 0.074
Tm: 0.353 0.426 0.500
Tm: 0.426 0.926 0.074
Tm: 0.500 0.500 0.000
Tm: 0.574 0.074 0.926
Tm: 0.647 0.574 0.500
Tm: 0.853 0.353 0.926
Tm: 0.926 0.853 0.500
Th: 0.250 0.250 0.000
Th: 0.750 0.750 0.000

Top 6 peaks for 15° ≤ 2θ ≤ 90°, by intensity:
two_theta	I (rel.)
31.21	1000
29.14	543
28.95	371
52.98	257
43.43	189
32.68	142

***

Pm4AgPd2: simulated powder diffraction line list (Cu Kα X-rays), based on the GGA-PBE geometry in Alexandria.
Intensities are scaled so that the largest is 1000.

Crystal structure
a = 7.882 Å, b = 7.882 Å, c = 7.882 Å
α = 108.67°, β = 108.67°, γ = 111.08°
Fractional positions:
Pm: 0.005 0.758 0.120
Pm: 0.112 0.492 0.746
Pm: 0.115 0.995 0.754
Pm: 0.242 0.362 0.246
Pm: 0.508 0.255 0.620
Pm: 0.635 0.888 0.380
Pm: 0.638 0.885 0.880
Pm: 0.745 0.365 0.254
Ag: 0.250 0.750 0.500
Ag: 0.500 0.500 0.000
Pd: 0.007 0.125 0.382
Pd: 0.375 0.993 0.118
Pd: 0.743 0.625 0.618
Pd: 0.875 0.257 0.882

Top 6 peaks for 15° ≤ 2θ ≤ 90°, by intensity:
two_theta	I (rel.)
30.82	1000
31.63	462
36.67	316
36.92	286
37.33	180
50.70	169

***

Sm2Cd5Ag4: simulated powder diffraction line list (Cu Kα X-rays), based on the GGA-PBE geometry in Alexandria.
Intensities are scaled so that the largest is 1000.

Crystal structure
a = 10.492 Å, b = 9.810 Å, c = 5.560 Å
α = 81.01°, β = 67.44°, γ = 31.56°
Fractional positions:
Sm: 0.121 0.121 0.879
Sm: 0.879 0.879 0.121
Cd: 0.000 0.000 0.500
Cd: 0.250 0.250 0.250
Cd: 0.500 0.500 0.000
Cd: 0.500 0.500 0.500
Cd: 0.750 0.750 0.750
Ag: 0.213 0.526 0.474
Ag: 0.474 0.787 0.213
Ag: 0.526 0.213 0.787
Ag: 0.787 0.474 0.526

Top 6 peaks for 15° ≤ 2θ ≤ 90°, by intensity:
two_theta	I (rel.)
36.26	1000
35.40	776
38.45	604
40.45	448
36.15	417
26.79	414

***

Ho3NiRu: simulated powder diffraction line list (Cu Kα X-rays), based on the GGA-PBE geometry in Alexandria.
Intensities are scaled so that the largest is 1000.

Crystal structure
a = 8.014 Å, b = 6.280 Å, c = 9.766 Å
α = 90.00°, β = 113.59°, γ = 90.00°
Fractional positions:
Ho: 0.129 0.007 0.295
Ho: 0.129 0.493 0.795
Ho: 0.289 0.004 0.019
Ho: 0.289 0.496 0.519
Ho: 0.313 0.515 0.173
Ho: 0.313 0.985 0.673
Ho: 0.687 0.015 0.327
Ho: 0.687 0.485 0.827
Ho: 0.711 0.504 0.481
Ho: 0.711 0.996 0.981
Ho: 0.871 0.507 0.205
Ho: 0.871 0.993 0.705
Ni: 0.464 0.676 0.943
Ni: 0.464 0.824 0.443
Ni: 0.536 0.176 0.557
Ni: 0.536 0.324 0.057
Ru: 0.001 0.244 0.505
Ru: 0.001 0.256 0.005
Ru: 0.999 0.744 0.995
Ru: 0.999 0.756 0.495

Top 6 peaks for 15° ≤ 2θ ≤ 90°, by intensity:
two_theta	I (rel.)
33.38	1000
33.25	956
37.71	771
33.08	724
37.83	642
28.42	493

***

NdDy8Bi6: simulated powder diffraction line list (Cu Kα X-rays), based on the GGA-PBE geometry in Alexandria.
Intensities are scaled so that the largest is 1000.

Crystal structure
a = 10.767 Å, b = 10.767 Å, c = 10.767 Å
α = 41.91°, β = 41.91°, γ = 41.91°
Fractional positions:
Nd: 0.000 0.000 0.000
Dy: 0.124 0.794 0.447
Dy: 0.206 0.553 0.876
Dy: 0.334 0.334 0.334
Dy: 0.447 0.124 0.794
Dy: 0.553 0.876 0.206
Dy: 0.666 0.666 0.666
Dy: 0.794 0.447 0.124
Dy: 0.876 0.206 0.553
Bi: 0.062 0.404 0.724
Bi: 0.276 0.938 0.596
Bi: 0.404 0.724 0.062
Bi: 0.596 0.276 0.938
Bi: 0.724 0.062 0.404
Bi: 0.938 0.596 0.276

Top 6 peaks for 15° ≤ 2θ ≤ 90°, by intensity:
two_theta	I (rel.)
29.50	1000
40.58	448
43.78	248
50.96	222
36.04	222
24.84	205

***

HoP2Pd7: simulated powder diffraction line list (Cu Kα X-rays), based on the GGA-PBE geometry in Alexandria.
Intensities are scaled so that the largest is 1000.

Crystal structure
a = 10.351 Å, b = 10.351 Å, c = 10.351 Å
α = 157.48°, β = 157.48°, γ = 32.06°
Fractional positions:
Ho: 0.000 0.000 0.000
P: 0.325 0.325 0.000
P: 0.675 0.675 0.000
Pd: 0.108 0.608 0.500
Pd: 0.250 0.750 0.500
Pd: 0.392 0.892 0.500
Pd: 0.500 0.500 0.000
Pd: 0.608 0.108 0.500
Pd: 0.750 0.250 0.500
Pd: 0.892 0.392 0.500

Top 6 peaks for 15° ≤ 2θ ≤ 90°, by intensity:
two_theta	I (rel.)
41.72	1000
44.84	603
36.25	424
32.59	396
36.12	303
58.88	290

***

Sm8P3CSe3: simulated powder diffraction line list (Cu Kα X-rays), based on the GGA-PBE geometry in Alexandria.
Intensities are scaled so that the largest is 1000.

Crystal structure
a = 8.294 Å, b = 8.294 Å, c = 8.294 Å
α = 58.69°, β = 58.69°, γ = 58.69°
Fractional positions:
Sm: 0.243 0.243 0.243
Sm: 0.265 0.725 0.725
Sm: 0.275 0.275 0.735
Sm: 0.275 0.735 0.275
Sm: 0.725 0.265 0.725
Sm: 0.725 0.725 0.265
Sm: 0.735 0.275 0.275
Sm: 0.757 0.757 0.757
P: 0.000 0.000 0.500
P: 0.000 0.500 0.000
P: 0.500 0.000 0.000
C: 0.500 0.500 0.500
Se: 0.000 0.500 0.500
Se: 0.500 0.000 0.500
Se: 0.500 0.500 0.000

Top 6 peaks for 15° ≤ 2θ ≤ 90°, by intensity:
two_theta	I (rel.)
30.81	1000
26.78	435
44.58	355
43.67	316
55.17	171
73.54	133